Structure and computed powder X-ray diffraction pattern of La2CeWN4 (a PBE-relaxed structure; Cu Kα (λ = 1.5418 Å)).

a b c (Å): 6.3432 6.3432 12.8613
angles (deg): 90.00 90.00 148.44
Positions (direct):
La  0.1318  0.8682  0.5384
La  0.1318  0.8682  0.9616
La  0.8682  0.1318  0.0384
La  0.8682  0.1318  0.4616
Ce  0.4147  0.5853  0.7500
Ce  0.5853  0.4147  0.2500
W  0.3237  0.6763  0.2500
W  0.6763  0.3237  0.7500
N  0.0712  0.9288  0.7500
N  0.2244  0.7756  0.1372
N  0.2244  0.7756  0.3628
N  0.5000  0.5000  0.0000
N  0.5000  0.5000  0.5000
N  0.7756  0.2244  0.6372
N  0.7756  0.2244  0.8628
N  0.9288  0.0712  0.2500

Top 12 peaks for 2θ from 15° to 90°, low angle first:
2theta  Rel. int.
27.75  67
29.26  31
30.09  34
30.30  100
34.16  28
34.80  36
36.91  79
37.96  21
46.14  20
49.57  31
50.50  27
53.09  19


Structure and computed powder X-ray diffraction pattern of SmI2O8 (a PBE-relaxed structure; Cu Kα (λ = 1.5418 Å)).

a b c (Å): 6.2163 6.2163 6.9546
angles (deg): 90.00 90.00 120.00
Positions (direct):
Sm  0.0000  0.0000  0.0000
I  0.3333  0.6667  0.2902
I  0.6667  0.3333  0.7098
O  0.1752  0.3503  0.1904
O  0.1752  0.8248  0.1904
O  0.3333  0.6667  0.5494
O  0.3503  0.1752  0.8096
O  0.6497  0.8248  0.1904
O  0.6667  0.3333  0.4506
O  0.8248  0.1752  0.8096
O  0.8248  0.6497  0.8096

Top 12 peaks for 2θ from 15° to 90°, low angle first:
2theta  Rel. int.
20.87  100
28.72  38
30.61  24
35.77  12
42.47  23
46.50  22
49.02  12
50.89  8
52.07  13
59.48  8
63.74  12
65.82  5


Structure and computed powder X-ray diffraction pattern of Hf5ZnRu4 (a PBE-relaxed structure; Cu Kα (λ = 1.5418 Å)).

a b c (Å): 3.2456 3.2456 16.3891
angles (deg): 90.00 90.00 90.00
Positions (direct):
Hf  0.0000  0.0000  0.0000
Hf  0.0000  0.0000  0.1982
Hf  0.0000  0.0000  0.3958
Hf  0.0000  0.0000  0.6042
Hf  0.0000  0.0000  0.8018
Zn  0.5000  0.5000  0.5000
Ru  0.5000  0.5000  0.0991
Ru  0.5000  0.5000  0.2980
Ru  0.5000  0.5000  0.7020
Ru  0.5000  0.5000  0.9009

Top 12 peaks for 2θ from 15° to 90°, low angle first:
2theta  Rel. int.
27.21  5
27.48  10
39.06  100
39.26  50
48.42  5
56.12  9
56.73  17
64.16  2
70.62  17
71.02  34
83.91  11
84.42  5


Structure and computed powder X-ray diffraction pattern of Ta2Ni2Ru (a PBE-relaxed structure; Cu Kα (λ = 1.5418 Å)).

a b c (Å): 6.7632 6.7632 3.1389
angles (deg): 90.00 90.00 90.00
Positions (direct):
Ta  0.1801  0.3199  0.0000
Ta  0.3199  0.8199  0.0000
Ta  0.6801  0.1801  0.0000
Ta  0.8199  0.6801  0.0000
Ni  0.1225  0.6225  0.5000
Ni  0.3775  0.1225  0.5000
Ni  0.6225  0.8775  0.5000
Ni  0.8775  0.3775  0.5000
Ru  0.0000  0.0000  0.5000
Ru  0.5000  0.5000  0.5000

Top 12 peaks for 2θ from 15° to 90°, low angle first:
2theta  Rel. int.
29.53  26
37.62  18
39.16  57
41.46  100
42.26  40
56.07  19
58.84  13
64.05  24
65.69  16
75.07  14
78.25  11
85.66  12


Structure and computed powder X-ray diffraction pattern of CoCu2 (a PBE-relaxed structure; Cu Kα (λ = 1.5418 Å)).

a b c (Å): 12.0968 12.0968 12.0968
angles (deg): 168.36 168.36 16.49
Positions (direct):
Co  0.3750  0.6250  0.7500
Co  0.6250  0.3750  0.2500
Cu  0.0458  0.7958  0.2500
Cu  0.2042  0.9542  0.2500
Cu  0.7958  0.0458  0.7500
Cu  0.9542  0.2042  0.7500

Top 12 peaks for 2θ from 15° to 90°, low angle first:
2theta  Rel. int.
36.82  12
38.38  8
41.35  71
45.48  100
50.61  11
53.36  41
57.96  9
66.56  10
77.86  13
78.27  6
78.54  18
86.90  10


Structure and computed powder X-ray diffraction pattern of LaTi6O12 (a PBE-relaxed structure; Cu Kα (λ = 1.5418 Å)).

a b c (Å): 8.2665 8.2665 9.7825
angles (deg): 124.84 124.84 65.78
Positions (direct):
La  0.2304  0.7696  0.0000
La  0.7696  0.2304  0.0000
Ti  0.0213  0.6916  0.5301
Ti  0.1670  0.4975  0.1858
Ti  0.1726  0.1726  0.8228
Ti  0.3084  0.9787  0.4699
Ti  0.3571  0.3571  0.5390
Ti  0.4975  0.1670  0.1858
Ti  0.5025  0.8330  0.8142
Ti  0.6429  0.6429  0.4610
Ti  0.6916  0.0213  0.5301
Ti  0.8274  0.8274  0.1772
Ti  0.8330  0.5025  0.8142
Ti  0.9787  0.3084  0.4699
O  0.1196  0.7874  0.2706
O  0.1378  0.4790  0.9484
O  0.1495  0.1495  0.6068
O  0.1552  0.1552  0.3401
O  0.1778  0.5212  0.6709
O  0.1858  0.5160  0.3973
O  0.1946  0.1946  0.0538
O  0.2126  0.8804  0.7294
O  0.4538  0.4538  0.2753
O  0.4790  0.1378  0.9484
O  0.4788  0.8222  0.3291
O  0.4840  0.8142  0.6027
O  0.5160  0.1858  0.3973
O  0.5212  0.1778  0.6709
O  0.5210  0.8622  0.0516
O  0.5462  0.5462  0.7247
O  0.7874  0.1196  0.2706
O  0.8054  0.8054  0.9462
O  0.8142  0.4840  0.6027
O  0.8222  0.4788  0.3291
O  0.8448  0.8448  0.6599
O  0.8505  0.8505  0.3932
O  0.8622  0.5210  0.0516
O  0.8804  0.2126  0.7294

Top 12 peaks for 2θ from 15° to 90°, low angle first:
2theta  Rel. int.
19.78  38
23.38  51
23.61  51
26.48  39
26.97  39
27.55  40
28.13  97
28.48  100
29.05  37
36.15  50
40.18  41
49.18  32


Structure and computed powder X-ray diffraction pattern of CuH3Rh3 (a PBE-relaxed structure; Cu Kα (λ = 1.5418 Å)).

a b c (Å): 7.2211 7.2211 7.2211
angles (deg): 38.90 38.90 38.90
Positions (direct):
Cu  0.1668  0.1668  0.1668
Cu  0.8332  0.8332  0.8332
H  0.1249  0.7515  0.4400
H  0.2485  0.5600  0.8751
H  0.4400  0.1249  0.7515
H  0.5600  0.8751  0.2485
H  0.7515  0.4400  0.1249
H  0.8751  0.2485  0.5600
Rh  0.0564  0.3910  0.7253
Rh  0.2747  0.9436  0.6090
Rh  0.3910  0.7253  0.0564
Rh  0.6090  0.2747  0.9436
Rh  0.7253  0.0564  0.3910
Rh  0.9436  0.6090  0.2747

Top 12 peaks for 2θ from 15° to 90°, low angle first:
2theta  Rel. int.
26.75  8
37.40  6
39.85  100
40.60  29
46.57  63
56.38  4
67.46  19
68.50  21
81.32  12
81.80  22
82.78  11
85.94  10


Structure and computed powder X-ray diffraction pattern of Ba6Pd3Rh (a PBE-relaxed structure; Cu Kα (λ = 1.5418 Å)).

a b c (Å): 7.7868 8.5046 13.8113
angles (deg): 90.00 123.69 90.00
Positions (direct):
Ba  0.0934  0.0612  0.2456
Ba  0.0934  0.4388  0.7456
Ba  0.2402  0.6840  0.0739
Ba  0.2402  0.8160  0.5739
Ba  0.3934  0.1743  0.0698
Ba  0.3934  0.3257  0.5698
Ba  0.6066  0.6743  0.4302
Ba  0.6066  0.8257  0.9302
Ba  0.7598  0.1840  0.4261
Ba  0.7598  0.3160  0.9261
Ba  0.9066  0.5612  0.2544
Ba  0.9066  0.9388  0.7544
Pd  0.2939  0.1034  0.7523
Pd  0.2939  0.3966  0.2523
Pd  0.5000  0.0000  0.5000
Pd  0.5000  0.5000  0.0000
Pd  0.7061  0.6034  0.7477
Pd  0.7061  0.8966  0.2477
Rh  0.0000  0.0000  0.0000
Rh  0.0000  0.5000  0.5000

Top 12 peaks for 2θ from 15° to 90°, low angle first:
2theta  Rel. int.
25.09  67
25.16  83
25.81  84
26.04  100
26.27  59
26.42  73
28.11  64
28.45  67
31.14  83
33.64  82
39.39  75
39.70  76


Structure and computed powder X-ray diffraction pattern of K4Cd2Hg3 (a PBE-relaxed structure; Cu Kα (λ = 1.5418 Å)).

a b c (Å): 9.7256 9.7256 8.0210
angles (deg): 106.14 106.14 28.36
Positions (direct):
K  0.0771  0.0771  0.3860
K  0.2703  0.2703  0.8005
K  0.7297  0.7297  0.1995
K  0.9229  0.9229  0.6140
Cd  0.0907  0.0907  0.9395
Cd  0.9093  0.9093  0.0605
Hg  0.3799  0.3799  0.2636
Hg  0.5000  0.5000  0.0000
Hg  0.6201  0.6201  0.7364

Top 12 peaks for 2θ from 15° to 90°, low angle first:
2theta  Rel. int.
17.16  100
28.36  55
28.57  21
30.25  73
30.57  60
31.39  26
34.39  52
37.76  36
38.94  42
39.72  22
41.75  23
52.98  34


Structure and computed powder X-ray diffraction pattern of Na2Re2O7 (a PBE-relaxed structure; Cu Kα (λ = 1.5418 Å)).

a b c (Å): 5.9878 5.9878 5.5607
angles (deg): 96.16 96.16 115.28
Positions (direct):
Na  0.1817  0.8183  0.0000
Na  0.8183  0.1817  0.0000
Re  0.2467  0.2467  0.6217
Re  0.7533  0.7533  0.3783
O  0.0625  0.0625  0.3039
O  0.1313  0.4397  0.7734
O  0.4397  0.1313  0.7734
O  0.5000  0.5000  0.5000
O  0.5603  0.8687  0.2266
O  0.8687  0.5603  0.2266
O  0.9375  0.9375  0.6961

Top 12 peaks for 2θ from 15° to 90°, low angle first:
2theta  Rel. int.
16.27  49
17.53  100
21.23  66
24.01  80
25.27  58
28.42  27
33.59  35
34.32  33
39.63  26
47.37  26
50.19  24
56.83  30


Structure and computed powder X-ray diffraction pattern of LiDy4Ni2 (a PBE-relaxed structure; Cu Kα (λ = 1.5418 Å)).

a b c (Å): 7.1809 7.3228 7.4689
angles (deg): 81.16 63.77 74.17
Positions (direct):
Li  0.0000  0.0000  0.0000
Li  0.4709  0.9814  0.0286
Dy  0.0434  0.2219  0.3140
Dy  0.0453  0.3675  0.7572
Dy  0.2244  0.6540  0.1983
Dy  0.4547  0.8581  0.6499
Dy  0.5541  0.3497  0.7466
Dy  0.5638  0.2540  0.2723
Dy  0.7304  0.6667  0.2016
Dy  0.9441  0.8454  0.6671
Ni  0.3493  0.5780  0.5169
Ni  0.6443  0.6187  0.8961
Ni  0.8279  0.9426  0.3630
Ni  0.8500  0.5679  0.5130

Top 12 peaks for 2θ from 15° to 90°, low angle first:
2theta  Rel. int.
25.45  24
26.63  60
28.19  47
29.12  100
33.61  60
33.90  81
35.37  56
36.37  45
36.51  27
38.40  29
49.17  28
50.94  32


Structure and computed powder X-ray diffraction pattern of Hf3BeP2 (a PBE-relaxed structure; Cu Kα (λ = 1.5418 Å)).

a b c (Å): 10.2668 3.5830 10.1504
angles (deg): 90.00 90.00 90.00
Positions (direct):
Hf  0.0514  0.2500  0.1243
Hf  0.1174  0.7500  0.5631
Hf  0.2078  0.2500  0.7932
Hf  0.2922  0.7500  0.2932
Hf  0.3826  0.2500  0.0631
Hf  0.4486  0.7500  0.6243
Hf  0.5514  0.2500  0.3757
Hf  0.6174  0.7500  0.9369
Hf  0.7078  0.2500  0.7068
Hf  0.7922  0.7500  0.2068
Hf  0.8826  0.2500  0.4369
Hf  0.9486  0.7500  0.8757
Be  0.1288  0.2500  0.3760
Be  0.3712  0.7500  0.8760
Be  0.6288  0.2500  0.1240
Be  0.8712  0.7500  0.6240
P  0.0297  0.7500  0.3151
P  0.1948  0.7500  0.9945
P  0.3052  0.2500  0.4945
P  0.4703  0.2500  0.8151
P  0.5297  0.7500  0.1849
P  0.6948  0.7500  0.5055
P  0.8052  0.2500  0.0055
P  0.9703  0.2500  0.6849

Top 12 peaks for 2θ from 15° to 90°, low angle first:
2theta  Rel. int.
27.79  61
31.53  50
31.70  57
35.30  39
36.10  30
36.51  100
37.40  36
39.62  17
40.56  40
50.98  27
59.90  19
64.02  17